# 1
Ho5Ga3: calculated powder diffractogram (a wavelength of 1.5418 Å), based on a crystal structure in Alexandria, relaxed with GGA-PBE.
Kinematic intensities with the Lorentz-polarization factor, no thermal factor.

Principal peaks in the range 2θ from 5° to 70°, by angle:
24.9 deg, rel. 15, hkl 1 1 1; 30.0 deg, rel. 34, hkl 1 0 2; 32.0 deg, rel. 42, hkl 2 1 0; 34.7 deg, rel. 87, hkl 1 1 2; 34.9 deg, rel. 100, hkl 2 1 1; 36.4 deg, rel. 37, hkl 3 0 0; 51.1 deg, rel. 22, hkl 2 2 2; 53.5 deg, rel. 30, hkl 2 1 3; 57.0 deg, rel. 15, hkl 4 1 0; 57.3 deg, rel. 23, hkl 4 0 2

Cell and atoms:
```
data_Ho5Ga3
_chemical_formula_sum 'Ho10 Ga6'
_space_group_name_H-M_alt 'P 63/m c m'
_space_group_IT_number 193
_space_group_name_Hall '-P 6c 2'
_cell_length_a 8.5542
_cell_length_b 8.5542
_cell_length_c 6.4991
_cell_angle_alpha 90.00
_cell_angle_beta 90.00
_cell_angle_gamma 120.00
loop_
_atom_site_label
_atom_site_fract_x
_atom_site_fract_y
_atom_site_fract_z
Ho1 0.0000 0.2429 0.2500
Ho2 0.3333 0.6667 0.0000
Ga1 0.0000 0.4018 0.7500
```



# 2
K2PbW: calculated powder diffractogram (a wavelength of 1.5418 Å), based on a crystal structure in Alexandria, relaxed with GGA-PBE.
Kinematic intensities with the Lorentz-polarization factor, no thermal factor.

Principal peaks in the range 2θ from 5° to 70°, by angle:
7.1 deg, rel. 100, hkl 0 0 3; 28.8 deg, rel. 6, hkl 0 0 12; 31.3 deg, rel. 5, hkl 1 0 1; 32.7 deg, rel. 26, hkl 1 0 4; 35.6 deg, rel. 13, hkl 1 0 7; 36.3 deg, rel. 5, hkl 0 0 15; 36.9 deg, rel. 15, hkl 0 1 8; 41.3 deg, rel. 11, hkl 0 1 11; 55.6 deg, rel. 6, hkl 1 1 0; 68.2 deg, rel. 6, hkl 1 1 15

Cell and atoms:
```
data_K2PbW
_chemical_formula_sum 'K6 Pb3 W3'
_space_group_name_H-M_alt 'R 3 m'
_space_group_IT_number 160
_space_group_name_Hall 'R 3 -2"'
_cell_length_a 3.3061
_cell_length_b 3.3061
_cell_length_c 37.1383
_cell_angle_alpha 90.00
_cell_angle_beta 90.00
_cell_angle_gamma 120.00
loop_
_atom_site_label
_atom_site_fract_x
_atom_site_fract_y
_atom_site_fract_z
K1 0.0000 0.0000 0.0000
K2 0.0000 0.0000 0.2250
Pb1 0.0000 0.0000 0.4745
W1 0.0000 0.0000 0.7465
```



# 3
RbNa2H3: calculated powder diffractogram (a wavelength of 1.5418 Å), based on a crystal structure in Alexandria, relaxed with GGA-PBE.
Kinematic intensities with the Lorentz-polarization factor, no thermal factor.

Principal peaks in the range 2θ from 5° to 70°, by angle:
19.9 deg, rel. 49, hkl 0 0 2; 24.3 deg, rel. 61, hkl 0 2 2; 25.4 deg, rel. 100, hkl 1 1 1; 27.7 deg, rel. 48, hkl 0 4 0; 30.9 deg, rel. 23, hkl 1 1 2; 32.2 deg, rel. 75, hkl 1 3 1; 34.4 deg, rel. 24, hkl 0 4 2; 38.4 deg, rel. 35, hkl 1 1 3; 40.5 deg, rel. 20, hkl 0 0 4; 43.5 deg, rel. 31, hkl 1 3 3

Cell and atoms:
```
data_RbNa2H3
_chemical_formula_sum 'Rb4 Na8 H12'
_space_group_name_H-M_alt 'C m c m'
_space_group_IT_number 63
_space_group_name_Hall '-C 2c 2'
_cell_length_a 3.9949
_cell_length_b 12.8628
_cell_length_c 8.9026
_cell_angle_alpha 90.00
_cell_angle_beta 90.00
_cell_angle_gamma 90.00
loop_
_atom_site_label
_atom_site_fract_x
_atom_site_fract_y
_atom_site_fract_z
Rb1 0.0000 0.2412 0.2500
Na1 0.0000 0.0209 0.7500
Na2 0.0000 0.5000 0.0000
H1 0.0000 0.1192 0.5490
H2 0.0000 0.4490 0.7500
```



# 4
NaLi2BrO4: calculated powder diffractogram (a wavelength of 1.5418 Å), based on a crystal structure in Alexandria, relaxed with GGA-PBE.
Kinematic intensities with the Lorentz-polarization factor, no thermal factor.

Principal peaks in the range 2θ from 5° to 70°, by angle:
17.2 deg, rel. 100, hkl 2 0 -1; 23.1 deg, rel. 19, hkl 0 2 0; 28.9 deg, rel. 46, hkl 2 2 -1; 30.4 deg, rel. 12, hkl 1 1 -2; 32.9 deg, rel. 8, hkl 2 2 0; 34.6 deg, rel. 46, hkl 2 2 -2; 37.4 deg, rel. 11, hkl 4 0 -1; 47.1 deg, rel. 18, hkl 0 4 0; 47.4 deg, rel. 10, hkl 4 0 0; 60.0 deg, rel. 12, hkl 6 2 -2

Cell and atoms:
```
data_NaLi2BrO4
_chemical_formula_sum 'Na4 Li8 Br4 O16'
_space_group_name_H-M_alt 'C 1 2 1'
_space_group_IT_number 5
_cell_length_a 10.3679
_cell_length_b 7.7169
_cell_length_c 6.9841
_cell_angle_alpha 90.00
_cell_angle_beta 132.25
_cell_angle_gamma 90.00
loop_
_space_group_symop_operation_xyz
'x,y,z'
'-x,y,-z'
'x+1/2,y+1/2,z'
'-x+1/2,y+1/2,-z'
loop_
_atom_site_label
_atom_site_fract_x
_atom_site_fract_y
_atom_site_fract_z
Na1 0.0000 0.0000 0.0000
Na2 0.0000 0.0441 0.5000
Li1 0.0000 0.3799 0.0000
Li2 0.0000 0.4111 0.5000
Li3 0.2426 0.7390 0.5590
Br1 0.2247 0.7426 0.9417
O1 0.0009 0.7814 0.7616
O2 0.0088 0.2474 0.2600
O3 0.2132 0.5737 0.7640
O4 0.2457 0.4090 0.1928
```



# 5
Co4TcMo: calculated powder diffractogram (a wavelength of 1.5418 Å), based on a crystal structure in Alexandria, relaxed with GGA-PBE.
Kinematic intensities with the Lorentz-polarization factor, no thermal factor.

Principal peaks in the range 2θ from 5° to 70°, by angle:
23.4 deg, rel. 1, hkl 1 1 1; 38.7 deg, rel. 46, hkl 2 2 0; 45.7 deg, rel. 100, hkl 3 1 1; 47.8 deg, rel. 25, hkl 2 2 2; 69.9 deg, rel. 15, hkl 4 2 2

Cell and atoms:
```
data_Co4TcMo
_chemical_formula_sum 'Co16 Tc4 Mo4'
_space_group_name_H-M_alt 'F -4 3 m'
_space_group_IT_number 216
_space_group_name_Hall 'F -4 2 3'
_cell_length_a 6.5887
_cell_length_b 6.5887
_cell_length_c 6.5887
_cell_angle_alpha 90.00
_cell_angle_beta 90.00
_cell_angle_gamma 90.00
loop_
_atom_site_label
_atom_site_fract_x
_atom_site_fract_y
_atom_site_fract_z
Co1 0.1246 0.1246 0.1246
Tc1 0.2500 0.2500 0.7500
Mo1 0.0000 0.0000 0.5000
```



# 6
K2CaNi2: calculated powder diffractogram (a wavelength of 1.5418 Å), based on a crystal structure in Alexandria, relaxed with GGA-PBE.
Kinematic intensities with the Lorentz-polarization factor, no thermal factor.

Principal peaks in the range 2θ from 5° to 70°, by angle:
20.8 deg, rel. 36, hkl 1 0 1; 28.3 deg, rel. 13, hkl 1 1 0; 30.9 deg, rel. 100, hkl 1 1 2; 37.3 deg, rel. 31, hkl 1 0 5; 40.4 deg, rel. 39, hkl 2 0 0; 48.9 deg, rel. 19, hkl 1 0 7; 56.1 deg, rel. 18, hkl 2 1 5; 58.5 deg, rel. 12, hkl 2 2 0; 65.2 deg, rel. 15, hkl 2 1 7; 67.6 deg, rel. 17, hkl 3 1 2

Cell and atoms:
```
data_K2CaNi2
_chemical_formula_sum 'K4 Ca2 Ni4'
_space_group_name_H-M_alt 'I 4/m m m'
_space_group_IT_number 139
_space_group_name_Hall '-I 4 2'
_cell_length_a 4.4658
_cell_length_b 4.4658
_cell_length_c 14.3418
_cell_angle_alpha 90.00
_cell_angle_beta 90.00
_cell_angle_gamma 90.00
loop_
_atom_site_label
_atom_site_fract_x
_atom_site_fract_y
_atom_site_fract_z
K1 0.0000 0.5000 0.2500
Ca1 0.0000 0.0000 0.0000
Ni1 0.0000 0.0000 0.4219
```